Ac3Ta2Se2N5: computed XRD peak list (Cu Kα (λ = 1.5418 Å)), based on DFT lattice parameters and positions (GGA-PBE).
Neutral-atom scattering factors, no anomalous dispersion.

Most intense lines, 2θ from 15° to 90°, in order of falling intensity:
d (Å)  intensity  (hkl)
2.695  100  1 0 7
2.971  86  1 1 0
1.657  48  2 1 7
2.101  39  2 0 0
3.195  36  1 0 5
1.687  17  1 1 12
1.755  16  0 0 14
1.329  16  3 1 0
1.106  14  3 2 7
1.485  13  2 2 0

Structure:
```
data_Ac3Ta2Se2N5
_cell_length_a 4.2014
_cell_length_b 4.2014
_cell_length_c 24.5944
_cell_angle_alpha 90.00
_cell_angle_beta 90.00
_cell_angle_gamma 90.00
_space_group_name_H-M_alt 'I 4/m m m'
_space_group_IT_number 139
_space_group_name_Hall '-I 4 2'
loop_
_atom_site_label
_atom_site_type_symbol
_atom_site_fract_x
_atom_site_fract_y
_atom_site_fract_z
Ac1 Ac 0.0000 0.0000 0.0000
Ac2 Ac 0.0000 0.0000 0.1604
Ta1 Ta 0.0000 0.0000 0.4200
Se1 Se 0.0000 0.0000 0.2992
N1 N 0.0000 0.0000 0.5000
N2 N 0.0000 0.5000 0.0873
```